Entry 1:
For TbPmNd2Pt2, a cell relaxed with GGA-PBE gives the simulated powder XRD pattern in this record (a wavelength of 1.5418 Å).
Neutral-atom scattering factors, no anomalous dispersion.

Main lines, in order of falling intensity (15° ≤ 2θ ≤ 90°):
2.439 Å, 2θ = 36.85°, rel. 100; 2.483 Å, 2θ = 36.18°, rel. 98; 3.107 Å, 2θ = 28.73°, rel. 88; 2.884 Å, 2θ = 31.01°, rel. 60; 2.142 Å, 2θ = 42.19°, rel. 51; 1.609 Å, 2θ = 57.24°, rel. 36; 3.449 Å, 2θ = 25.83°, rel. 34; 1.417 Å, 2θ = 65.94°, rel. 34

Crystal structure
a = 8.6572 Å, b = 8.6572 Å, c = 8.6572 Å
α = 132.99°, β = 68.60°, γ = 133.08°
Fractional coordinates of all 12 atoms:
Tb (0.2500, 0.2500, 0.0000)
Tb (0.7500, 0.7500, 0.0000)
Pm (0.2500, 0.7500, 0.5000)
Pm (0.7500, 0.2500, 0.5000)
Nd (0.1922, 0.2055, 0.3978)
Nd (0.3078, 0.7055, 0.0133)
Nd (0.6922, 0.2945, 0.9867)
Nd (0.8078, 0.7945, 0.6022)
Pt (0.1117, 0.7673, 0.8790)
Pt (0.3883, 0.2673, 0.6556)
Pt (0.6117, 0.7327, 0.3444)
Pt (0.8883, 0.2327, 0.1210)

Entry 2:
For Pm4Cu3Si, a cell relaxed with GGA-PBE gives the simulated powder XRD pattern in this record (a wavelength of 1.5418 Å).
Neutral-atom scattering factors, no anomalous dispersion.

Main lines, in order of falling intensity (15° ≤ 2θ ≤ 90°):
2.856 Å, 2θ = 31.32°, rel. 100; 2.697 Å, 2θ = 33.22°, rel. 52; 3.332 Å, 2θ = 26.76°, rel. 38; 2.279 Å, 2θ = 39.55°, rel. 37; 1.672 Å, 2θ = 54.93°, rel. 25; 2.130 Å, 2θ = 42.44°, rel. 24; 2.062 Å, 2θ = 43.91°, rel. 21; 2.265 Å, 2θ = 39.81°, rel. 21

Crystal structure
a = 4.1243 Å, b = 4.2603 Å, c = 10.6938 Å
α = 90.00°, β = 90.00°, γ = 90.00°
Fractional coordinates of all 8 atoms:
Pm (0.0000, 0.0000, 0.0000)
Pm (0.0000, 0.5000, 0.2871)
Pm (0.5000, 0.0000, 0.5011)
Pm (0.5000, 0.5000, 0.7901)
Cu (0.0000, 0.5000, 0.5826)
Cu (0.5000, 0.0000, 0.2105)
Cu (0.5000, 0.5000, 0.0795)
Si (0.0000, 0.0000, 0.7143)

Entry 3:
For Tb5Pd6, a cell relaxed with GGA-PBE gives the simulated powder XRD pattern in this record (a wavelength of 1.5418 Å).
Neutral-atom scattering factors, no anomalous dispersion.

Main lines, in order of falling intensity (15° ≤ 2θ ≤ 90°):
2.445 Å, 2θ = 36.76°, rel. 100; 2.499 Å, 2θ = 35.93°, rel. 71; 2.428 Å, 2θ = 37.03°, rel. 27; 1.776 Å, 2θ = 51.44°, rel. 17; 2.696 Å, 2θ = 33.24°, rel. 16; 1.431 Å, 2θ = 65.21°, rel. 13; 1.758 Å, 2θ = 52.01°, rel. 11; 1.437 Å, 2θ = 64.91°, rel. 11

Crystal structure
a = 8.3824 Å, b = 8.3824 Å, c = 4.8876 Å
α = 104.81°, β = 104.81°, γ = 50.16°
Fractional coordinates of all 11 atoms:
Tb (0.0000, 0.0000, 0.0000)
Tb (0.1757, 0.1757, 0.6738)
Tb (0.3594, 0.3594, 0.3372)
Tb (0.6406, 0.6406, 0.6628)
Tb (0.8243, 0.8243, 0.3262)
Pd (0.0497, 0.5949, 0.8163)
Pd (0.2136, 0.7864, 0.5000)
Pd (0.4051, 0.9503, 0.1837)
Pd (0.5949, 0.0497, 0.8163)
Pd (0.7864, 0.2136, 0.5000)
Pd (0.9503, 0.4051, 0.1837)

Entry 4:
For MnAl2Tl3Te6, a cell relaxed with GGA-PBE gives the simulated powder XRD pattern in this record (a wavelength of 1.5418 Å).
Neutral-atom scattering factors, no anomalous dispersion.

Main lines, in order of falling intensity (15° ≤ 2θ ≤ 90°):
3.076 Å, 2θ = 29.03°, rel. 100; 2.871 Å, 2θ = 31.16°, rel. 38; 2.300 Å, 2θ = 39.18°, rel. 30; 2.065 Å, 2θ = 43.83°, rel. 25; 3.548 Å, 2θ = 25.10°, rel. 17; 2.666 Å, 2θ = 33.62°, rel. 16; 1.633 Å, 2θ = 56.35°, rel. 15; 1.641 Å, 2θ = 56.05°, rel. 13

Crystal structure
a = 7.1745 Å, b = 7.1745 Å, c = 8.3434 Å
α = 98.16°, β = 98.16°, γ = 120.27°
Fractional coordinates of all 12 atoms:
Mn (0.0000, 0.0000, 0.0000)
Al (0.3335, 0.6665, 0.0000)
Al (0.6665, 0.3335, 0.0000)
Tl (0.1686, 0.8314, 0.5000)
Tl (0.5000, 0.5000, 0.5000)
Tl (0.8314, 0.1686, 0.5000)
Te (0.0640, 0.3978, 0.1909)
Te (0.2685, 0.2685, 0.8097)
Te (0.3978, 0.0640, 0.1909)
Te (0.6022, 0.9360, 0.8091)
Te (0.7315, 0.7315, 0.1903)
Te (0.9360, 0.6022, 0.8091)